[1]
Starting from a crystal structure in the Materials Project, relaxed with PBE, the PXRD pattern of Mg4CdAg5 was computed for Cu Kα X-rays.
Peak positions follow from Bragg's law for the DFT cell and can differ from measured ones.

Principal peaks in the range 2θ from 10° to 90°, by angle:
- 25.4 deg, rel. 14
- 27.2 deg, rel. 23
- 37.6 deg, rel. 100
- 38.9 deg, rel. 45
- 47.0 deg, rel. 10
- 52.2 deg, rel. 9
- 56.2 deg, rel. 15
- 67.0 deg, rel. 17
- 69.6 deg, rel. 30
- 80.2 deg, rel. 10

Cell and atoms:
a b c (Å): 3.2733 3.2733 17.5305
angles (deg): 90.00 90.00 90.00
Positions (direct):
Mg  0.0000  0.0000  0.0997
Mg  0.0000  0.0000  0.2997
Mg  0.0000  0.0000  0.7003
Mg  0.0000  0.0000  0.9003
Cd  0.0000  0.0000  0.5000
Ag  0.5000  0.5000  0.0000
Ag  0.5000  0.5000  0.2001
Ag  0.5000  0.5000  0.3963
Ag  0.5000  0.5000  0.6037
Ag  0.5000  0.5000  0.7999



[2]
Starting from a crystal structure in the Materials Project, relaxed with PBE, the PXRD pattern of Nd2CdAg was computed for Cu Kα X-rays.
Peak positions follow from Bragg's law for the DFT cell and can differ from measured ones.

Principal peaks in the range 2θ from 10° to 90°, by angle:
- 23.3 deg, rel. 2
- 33.2 deg, rel. 100
- 41.0 deg, rel. 1
- 47.7 deg, rel. 18
- 53.8 deg, rel. 1
- 59.4 deg, rel. 37
- 69.8 deg, rel. 11
- 79.5 deg, rel. 16
- 89.0 deg, rel. 4

Cell and atoms:
a b c (Å): 7.6215 7.6215 7.6215
angles (deg): 90.00 90.00 90.00
Positions (direct):
Nd  0.2500  0.2500  0.2500
Nd  0.2500  0.2500  0.7500
Nd  0.2500  0.7500  0.2500
Nd  0.2500  0.7500  0.7500
Nd  0.7500  0.2500  0.2500
Nd  0.7500  0.2500  0.7500
Nd  0.7500  0.7500  0.2500
Nd  0.7500  0.7500  0.7500
Cd  0.0000  0.0000  0.0000
Cd  0.0000  0.5000  0.5000
Cd  0.5000  0.0000  0.5000
Cd  0.5000  0.5000  0.0000
Ag  0.0000  0.0000  0.5000
Ag  0.0000  0.5000  0.0000
Ag  0.5000  0.0000  0.0000
Ag  0.5000  0.5000  0.5000



[3]
Starting from a crystal structure in the Materials Project, relaxed with PBE, the PXRD pattern of NdCdAg2 was computed for Cu Kα X-rays.
Peak positions follow from Bragg's law for the DFT cell and can differ from measured ones.

Principal peaks in the range 2θ from 10° to 90°, by angle:
- 21.5 deg, rel. 1
- 24.9 deg, rel. 1
- 35.5 deg, rel. 100
- 51.0 deg, rel. 17
- 63.7 deg, rel. 34
- 75.0 deg, rel. 11
- 85.8 deg, rel. 15

Cell and atoms:
a b c (Å): 7.1605 7.1605 7.1605
angles (deg): 90.00 90.00 90.00
Positions (direct):
Nd  0.0000  0.0000  0.0000
Nd  0.0000  0.5000  0.5000
Nd  0.5000  0.0000  0.5000
Nd  0.5000  0.5000  0.0000
Cd  0.0000  0.0000  0.5000
Cd  0.0000  0.5000  0.0000
Cd  0.5000  0.0000  0.0000
Cd  0.5000  0.5000  0.5000
Ag  0.2500  0.2500  0.2500
Ag  0.2500  0.2500  0.7500
Ag  0.2500  0.7500  0.2500
Ag  0.2500  0.7500  0.7500
Ag  0.7500  0.2500  0.2500
Ag  0.7500  0.2500  0.7500
Ag  0.7500  0.7500  0.2500
Ag  0.7500  0.7500  0.7500



[4]
Starting from a crystal structure in the Materials Project, relaxed with PBE, the PXRD pattern of CdAg2O4 was computed for Cu Kα X-rays.
Peak positions follow from Bragg's law for the DFT cell and can differ from measured ones.

Principal peaks in the range 2θ from 10° to 90°, by angle:
- 25.8 deg, rel. 38
- 27.1 deg, rel. 96
- 33.5 deg, rel. 37
- 34.2 deg, rel. 100
- 41.1 deg, rel. 34
- 51.2 deg, rel. 19
- 53.1 deg, rel. 58
- 55.7 deg, rel. 27
- 61.7 deg, rel. 18
- 68.7 deg, rel. 17

Cell and atoms:
a b c (Å): 7.2673 7.2673 7.2673
angles (deg): 131.13 131.13 71.61
Positions (direct):
Cd  0.3750  0.6250  0.7500
Cd  0.6250  0.3750  0.2500
Ag  0.0000  0.0000  0.0000
Ag  0.0000  0.0000  0.5000
Ag  0.0000  0.5000  0.0000
Ag  0.5000  0.0000  0.5000
O  0.2249  0.2443  0.9807
O  0.2364  0.7557  0.4807
O  0.2443  0.2249  0.4807
O  0.2443  0.7636  0.0193
O  0.7557  0.2364  0.9807
O  0.7557  0.7751  0.5193
O  0.7636  0.2443  0.5193
O  0.7751  0.7557  0.0193



[5]
Starting from a crystal structure in the Materials Project, relaxed with PBE, the PXRD pattern of CdAg2O4 was computed for Cu Kα X-rays.
Peak positions follow from Bragg's law for the DFT cell and can differ from measured ones.

Principal peaks in the range 2θ from 10° to 90°, by angle:
- 22.0 deg, rel. 31
- 25.8 deg, rel. 100
- 27.1 deg, rel. 20
- 31.9 deg, rel. 69
- 35.1 deg, rel. 39
- 35.9 deg, rel. 28
- 37.7 deg, rel. 43
- 45.6 deg, rel. 17
- 46.4 deg, rel. 25
- 51.1 deg, rel. 19

Cell and atoms:
a b c (Å): 8.3371 7.3889 6.1148
angles (deg): 75.60 59.14 45.27
Positions (direct):
Cd  0.1250  0.1250  0.1250
Cd  0.8750  0.8750  0.8750
Ag  0.2528  0.2528  0.4972
Ag  0.4972  0.4972  0.2528
Ag  0.5028  0.5028  0.7472
Ag  0.7472  0.7472  0.5028
O  0.0974  0.4038  0.2588
O  0.2588  0.7400  0.0974
O  0.2600  0.7412  0.5962
O  0.4038  0.0974  0.7400
O  0.5962  0.9026  0.2600
O  0.7400  0.2588  0.4038
O  0.7412  0.2600  0.9026
O  0.9026  0.5962  0.7412



[6]
Starting from a crystal structure in the Materials Project, relaxed with PBE, the PXRD pattern of PrCdAg2 was computed for Cu Kα X-rays.
Peak positions follow from Bragg's law for the DFT cell and can differ from measured ones.

Principal peaks in the range 2θ from 10° to 90°, by angle:
- 21.4 deg, rel. 1
- 24.7 deg, rel. 1
- 35.3 deg, rel. 100
- 50.7 deg, rel. 17
- 63.3 deg, rel. 35
- 74.6 deg, rel. 11
- 85.3 deg, rel. 15

Cell and atoms:
a b c (Å): 7.1995 7.1995 7.1995
angles (deg): 90.00 90.00 90.00
Positions (direct):
Pr  0.0000  0.0000  0.0000
Pr  0.0000  0.5000  0.5000
Pr  0.5000  0.0000  0.5000
Pr  0.5000  0.5000  0.0000
Cd  0.0000  0.0000  0.5000
Cd  0.0000  0.5000  0.0000
Cd  0.5000  0.0000  0.0000
Cd  0.5000  0.5000  0.5000
Ag  0.2500  0.2500  0.2500
Ag  0.2500  0.2500  0.7500
Ag  0.2500  0.7500  0.2500
Ag  0.2500  0.7500  0.7500
Ag  0.7500  0.2500  0.2500
Ag  0.7500  0.2500  0.7500
Ag  0.7500  0.7500  0.2500
Ag  0.7500  0.7500  0.7500



[7]
Starting from a crystal structure in the Materials Project, relaxed with PBE, the PXRD pattern of Cd2AgRh was computed for Cu Kα X-rays.
Peak positions follow from Bragg's law for the DFT cell and can differ from measured ones.

Principal peaks in the range 2θ from 10° to 90°, by angle:
- 38.5 deg, rel. 100
- 55.5 deg, rel. 16
- 69.6 deg, rel. 33
- 82.4 deg, rel. 10

Cell and atoms:
a b c (Å): 6.6188 6.6188 6.6188
angles (deg): 90.00 90.00 90.00
Positions (direct):
Cd  0.2500  0.2500  0.2500
Cd  0.2500  0.2500  0.7500
Cd  0.2500  0.7500  0.2500
Cd  0.2500  0.7500  0.7500
Cd  0.7500  0.2500  0.2500
Cd  0.7500  0.2500  0.7500
Cd  0.7500  0.7500  0.2500
Cd  0.7500  0.7500  0.7500
Ag  0.0000  0.0000  0.0000
Ag  0.0000  0.5000  0.5000
Ag  0.5000  0.0000  0.5000
Ag  0.5000  0.5000  0.0000
Rh  0.0000  0.0000  0.5000
Rh  0.0000  0.5000  0.0000
Rh  0.5000  0.0000  0.0000
Rh  0.5000  0.5000  0.5000



[8]
Starting from a crystal structure in the Materials Project, relaxed with PBE, the PXRD pattern of CdAg2SnS4 was computed for Cu Kα X-rays.
Peak positions follow from Bragg's law for the DFT cell and can differ from measured ones.

Principal peaks in the range 2θ from 10° to 90°, by angle:
- 24.6 deg, rel. 27
- 24.8 deg, rel. 64
- 26.1 deg, rel. 65
- 27.9 deg, rel. 56
- 28.0 deg, rel. 100
- 36.3 deg, rel. 31
- 43.4 deg, rel. 49
- 47.1 deg, rel. 27
- 47.3 deg, rel. 51
- 51.3 deg, rel. 38

Cell and atoms:
a b c (Å): 6.8290 4.1428 7.2452
angles (deg): 90.00 90.12 90.00
Positions (direct):
Cd  0.0000  0.0000  0.0000
Ag  0.0051  0.5000  0.5112
Ag  0.5239  0.5000  0.8405
Sn  0.5188  0.0000  0.3206
S  0.3851  0.0000  0.0118
S  0.3880  0.5000  0.4918
S  0.8720  0.0000  0.3402
S  0.8927  0.5000  0.8380